1.
The following is a computed XRD peak list of CaFe2As2O10. It was derived from a DFT-relaxed cell (PBE+U, the Materials Project), using λ = 1.5418 Å (Cu Kα).

Most intense lines, 2θ = 10–90°, by angle:
| d [Å] | I/Imax |
| --- | --- |
| 4.849 | 69 |
| 3.463 | 93 |
| 3.327 | 39 |
| 3.221 | 100 |
| 3.024 | 47 |
| 2.977 | 49 |
| 2.932 | 70 |
| 2.700 | 31 |
| 2.537 | 52 |
| 2.489 | 38 |
| 1.732 | 31 |
| 1.672 | 34 |

Atomic structure:
Cell lengths 9.0752, 9.0752, 11.9991 Å; angles 90.00, 90.00, 130.25 degrees
Positions (direct):
Ca (0.0000, 0.0000, 0.2500)
Ca (0.0000, 0.0000, 0.7500)
Ca (0.0000, 0.5000, 0.0000)
Ca (0.5000, 0.0000, 0.5000)
Fe (0.2449, 0.4878, 0.3691)
Fe (0.2449, 0.4878, 0.6309)
Fe (0.4878, 0.2449, 0.1309)
Fe (0.4878, 0.2449, 0.8691)
Fe (0.5122, 0.7551, 0.1309)
Fe (0.5122, 0.7551, 0.8691)
Fe (0.7551, 0.5122, 0.3691)
Fe (0.7551, 0.5122, 0.6309)
As (0.2114, 0.3006, 0.0000)
As (0.2131, 0.7869, 0.2500)
As (0.2131, 0.7869, 0.7500)
As (0.3006, 0.2114, 0.5000)
As (0.6994, 0.7886, 0.5000)
As (0.7869, 0.2131, 0.2500)
As (0.7869, 0.2131, 0.7500)
As (0.7886, 0.6994, 0.0000)
O (0.0066, 0.7612, 0.0000)
O (0.0274, 0.3257, 0.2584)
O (0.0274, 0.3257, 0.7416)
O (0.0858, 0.4185, 0.5000)
O (0.2109, 0.2445, 0.3846)
O (0.2109, 0.2445, 0.6155)
O (0.2388, 0.9934, 0.5000)
O (0.2445, 0.2109, 0.1154)
O (0.2445, 0.2109, 0.8846)
O (0.2579, 0.7052, 0.1360)
O (0.2579, 0.7052, 0.8640)
O (0.2948, 0.7422, 0.3640)
O (0.2948, 0.7422, 0.6360)
O (0.3257, 0.0274, 0.2416)
O (0.3257, 0.0274, 0.7584)
O (0.3857, 0.5543, 0.0000)
O (0.4185, 0.0858, 0.0000)
O (0.4245, 0.5755, 0.2500)
O (0.4245, 0.5755, 0.7500)
O (0.4457, 0.6143, 0.5000)
O (0.5543, 0.3857, 0.5000)
O (0.5755, 0.4245, 0.2500)
O (0.5755, 0.4245, 0.7500)
O (0.5815, 0.9142, 0.0000)
O (0.6143, 0.4457, 0.0000)
O (0.6743, 0.9726, 0.2416)
O (0.6743, 0.9726, 0.7584)
O (0.7052, 0.2579, 0.3640)
O (0.7052, 0.2579, 0.6360)
O (0.7422, 0.2948, 0.1360)
O (0.7422, 0.2948, 0.8640)
O (0.7555, 0.7891, 0.1154)
O (0.7555, 0.7891, 0.8846)
O (0.7612, 0.0066, 0.5000)
O (0.7891, 0.7555, 0.3846)
O (0.7891, 0.7555, 0.6155)
O (0.9142, 0.5815, 0.5000)
O (0.9726, 0.6743, 0.2584)
O (0.9726, 0.6743, 0.7416)
O (0.9934, 0.2388, 0.0000)

2.
The following is a computed XRD peak list of LiBi3PbWClO8. It was derived from a DFT-relaxed cell (PBE+U, the Materials Project), using λ = 1.5418 Å (Cu Kα).

Most intense lines, 2θ = 10–90°, by angle:
| d [Å] | I/Imax |
| --- | --- |
| 3.516 | 35 |
| 3.111 | 100 |
| 2.985 | 16 |
| 2.819 | 52 |
| 2.724 | 20 |
| 2.050 | 27 |
| 1.993 | 28 |
| 1.701 | 11 |
| 1.690 | 18 |
| 1.678 | 35 |
| 1.658 | 12 |
| 1.289 | 15 |

Atomic structure:
Cell lengths 3.9867, 3.9867, 14.9258 Å; angles 90.00, 90.00, 90.00 degrees
Positions (direct):
Li (0.0000, 0.0000, 0.0000)
Bi (0.0000, 0.0000, 0.2075)
Bi (0.5000, 0.5000, 0.3715)
Bi (0.5000, 0.5000, 0.6387)
Pb (0.0000, 0.0000, 0.8049)
W (0.5000, 0.5000, 0.0181)
Cl (0.0000, 0.0000, 0.4902)
O (0.0000, 0.5000, 0.0245)
O (0.0000, 0.5000, 0.2970)
O (0.0000, 0.5000, 0.7088)
O (0.5000, 0.0000, 0.0245)
O (0.5000, 0.0000, 0.2970)
O (0.5000, 0.0000, 0.7088)
O (0.5000, 0.5000, 0.1540)
O (0.5000, 0.5000, 0.8922)

3.
The following is a computed XRD peak list of MgVBr2O. It was derived from a DFT-relaxed cell (PBE+U, the Materials Project), using λ = 1.5418 Å (Cu Kα).

Most intense lines, 2θ = 10–90°, by angle:
| d [Å] | I/Imax |
| --- | --- |
| 3.687 | 77 |
| 3.295 | 84 |
| 2.945 | 100 |
| 2.830 | 70 |
| 2.691 | 40 |
| 2.552 | 20 |
| 2.302 | 39 |
| 2.275 | 34 |
| 2.112 | 37 |
| 2.103 | 38 |
| 1.913 | 29 |
| 1.856 | 23 |

Atomic structure:
Cell lengths 3.8256, 4.2335, 7.2878 Å; angles 79.41, 74.87, 89.96 degrees
Positions (direct):
Mg (0.0000, 0.0000, 0.0000)
V (0.3207, 0.7992, 0.3656)
Br (0.1905, 0.1729, 0.6308)
Br (0.4983, 0.5148, 0.0079)
O (0.8649, 0.8812, 0.2769)

4.
The following is a computed XRD peak list of Nb2WO8. It was derived from a DFT-relaxed cell (PBE+U, the Materials Project), using λ = 1.5418 Å (Cu Kα).

Most intense lines, 2θ = 10–90°, by angle:
| d [Å] | I/Imax |
| --- | --- |
| 4.575 | 61 |
| 3.445 | 86 |
| 3.402 | 100 |
| 3.371 | 29 |
| 2.855 | 29 |
| 2.816 | 27 |
| 2.667 | 29 |
| 2.583 | 31 |
| 1.985 | 25 |
| 1.847 | 15 |
| 1.843 | 20 |
| 1.826 | 20 |

Atomic structure:
Cell lengths 10.5836, 10.5836, 5.1648 Å; angles 90.97, 90.97, 34.23 degrees
Positions (direct):
Nb (0.0467, 0.6895, 0.7601)
Nb (0.3105, 0.9533, 0.7399)
Nb (0.6895, 0.0467, 0.2601)
Nb (0.9533, 0.3105, 0.2399)
W (0.3439, 0.6561, 0.2500)
W (0.6561, 0.3439, 0.7500)
O (0.0794, 0.2434, 0.5713)
O (0.1044, 0.7815, 0.0847)
O (0.1891, 0.4377, 0.8596)
O (0.2185, 0.8956, 0.4153)
O (0.2434, 0.0794, 0.0713)
O (0.3401, 0.5574, 0.5678)
O (0.4377, 0.1891, 0.3597)
O (0.4426, 0.6599, 0.9322)
O (0.5574, 0.3401, 0.0678)
O (0.5623, 0.8109, 0.6404)
O (0.6599, 0.4426, 0.4322)
O (0.7566, 0.9206, 0.9287)
O (0.7815, 0.1044, 0.5847)
O (0.8109, 0.5623, 0.1404)
O (0.8956, 0.2185, 0.9153)
O (0.9206, 0.7566, 0.4287)

5.
The following is a computed XRD peak list of Sr2FeO3F. It was derived from a DFT-relaxed cell (PBE+U, the Materials Project), using λ = 1.5418 Å (Cu Kα).

Most intense lines, 2θ = 10–90°, by angle:
| d [Å] | I/Imax |
| --- | --- |
| 6.516 | 16 |
| 2.914 | 100 |
| 2.779 | 89 |
| 2.172 | 48 |
| 2.114 | 38 |
| 1.965 | 50 |
| 1.683 | 18 |
| 1.629 | 42 |
| 1.457 | 30 |
| 1.389 | 15 |
| 1.254 | 17 |
| 1.243 | 14 |

Atomic structure:
Cell lengths 3.9298, 3.9298, 13.0326 Å; angles 90.00, 90.00, 90.00 degrees
Positions (direct):
Sr (0.0000, 0.0000, 0.0000)
Sr (0.0000, 0.0000, 0.2714)
Sr (0.5000, 0.5000, 0.5000)
Sr (0.5000, 0.5000, 0.7714)
Fe (0.0000, 0.0000, 0.6533)
Fe (0.5000, 0.5000, 0.1533)
O (0.0000, 0.0000, 0.8033)
O (0.0000, 0.5000, 0.1290)
O (0.0000, 0.5000, 0.6290)
O (0.5000, 0.0000, 0.1290)
O (0.5000, 0.0000, 0.6290)
O (0.5000, 0.5000, 0.3033)
F (0.0000, 0.0000, 0.4575)
F (0.5000, 0.5000, 0.9575)

6.
The following is a computed XRD peak list of LiSmMo2O8. It was derived from a DFT-relaxed cell (PBE+U, the Materials Project), using λ = 1.5418 Å (Cu Kα).

Most intense lines, 2θ = 10–90°, by angle:
| d [Å] | I/Imax |
| --- | --- |
| 5.142 | 42 |
| 4.699 | 33 |
| 4.412 | 35 |
| 3.881 | 25 |
| 3.177 | 100 |
| 2.998 | 80 |
| 2.976 | 24 |
| 2.961 | 30 |
| 2.538 | 18 |
| 1.878 | 19 |
| 1.850 | 32 |
| 1.587 | 22 |

Atomic structure:
Cell lengths 5.0927, 5.9516, 11.0983 Å; angles 90.00, 112.69, 90.00 degrees
Positions (direct):
Li (0.0000, 0.2159, 0.2500)
Li (0.0000, 0.7841, 0.7500)
Sm (0.5000, 0.2126, 0.7500)
Sm (0.5000, 0.7874, 0.2500)
Mo (0.2653, 0.3173, 0.0223)
Mo (0.2653, 0.6827, 0.5223)
Mo (0.7347, 0.3173, 0.4777)
Mo (0.7347, 0.6827, 0.9777)
O (0.1418, 0.3960, 0.5931)
O (0.1418, 0.6040, 0.0931)
O (0.2228, 0.1245, 0.1372)
O (0.2228, 0.8755, 0.6372)
O (0.2810, 0.1355, 0.8948)
O (0.2810, 0.8645, 0.3948)
O (0.3640, 0.4110, 0.3850)
O (0.3640, 0.5890, 0.8850)
O (0.6360, 0.4110, 0.1150)
O (0.6360, 0.5890, 0.6150)
O (0.7190, 0.1355, 0.6052)
O (0.7190, 0.8645, 0.1052)
O (0.7772, 0.1245, 0.3628)
O (0.7772, 0.8755, 0.8628)
O (0.8582, 0.3960, 0.9069)
O (0.8582, 0.6040, 0.4069)

7.
The following is a computed XRD peak list of Li4V3OF11. It was derived from a DFT-relaxed cell (PBE+U, the Materials Project), using λ = 1.5418 Å (Cu Kα).

Most intense lines, 2θ = 10–90°, by angle:
| d [Å] | I/Imax |
| --- | --- |
| 5.422 | 100 |
| 3.583 | 38 |
| 3.555 | 71 |
| 3.545 | 33 |
| 2.734 | 19 |
| 2.711 | 12 |
| 2.410 | 12 |
| 2.291 | 12 |
| 1.891 | 21 |
| 1.883 | 13 |
| 1.698 | 12 |
| 1.499 | 16 |

Atomic structure:
Cell lengths 5.1995, 5.4688, 16.4595 Å; angles 98.77, 90.28, 90.30 degrees
Positions (direct):
Li (0.0000, 0.0000, 0.0000)
Li (0.0166, 0.1154, 0.6600)
Li (0.0413, 0.7780, 0.7736)
Li (0.2163, 0.8123, 0.3684)
Li (0.5058, 0.0028, 0.0934)
Li (0.5400, 0.3161, 0.7705)
Li (0.5862, 0.4866, 0.0006)
Li (0.7248, 0.2745, 0.3844)
V (0.0157, 0.3014, 0.8698)
V (0.0332, 0.9623, 0.2085)
V (0.0380, 0.6278, 0.5447)
V (0.5370, 0.4655, 0.2097)
V (0.5384, 0.1300, 0.5448)
V (0.5648, 0.8027, 0.8691)
O (0.7407, 0.0677, 0.8368)
O (0.8430, 0.5698, 0.8403)
F (0.1357, 0.5615, 0.4311)
F (0.1571, 0.8997, 0.0943)
F (0.1865, 0.1823, 0.7590)
F (0.2185, 0.3195, 0.5766)
F (0.2256, 0.6678, 0.2434)
F (0.2292, 0.0020, 0.9077)
F (0.3519, 0.8312, 0.5698)
F (0.3555, 0.5000, 0.9095)
F (0.3610, 0.1544, 0.2313)
F (0.3901, 0.6688, 0.7656)
F (0.4458, 0.3656, 0.0947)
F (0.4466, 0.0595, 0.4290)
F (0.6369, 0.5288, 0.3231)
F (0.6637, 0.8494, 0.9957)
F (0.6662, 0.2172, 0.6556)
F (0.7095, 0.7686, 0.1756)
F (0.7303, 0.4227, 0.5102)
F (0.8427, 0.2589, 0.1802)
F (0.8574, 0.9415, 0.5198)
F (0.9046, 0.3334, 0.9881)
F (0.9489, 0.0313, 0.3262)
F (0.9503, 0.7458, 0.6567)